Entry 1:
This entry pairs a crystal structure of Ce3NF6 with its calculated powder diffraction line list. Radiation: CuKα. Structure: a structure optimized by DFT (PBE).
Peak positions follow from Bragg's law for the DFT cell and can differ from measured ones.

Structural model:
```
data_Ce3NF6
_cell_length_a 4.024
_cell_length_b 5.931
_cell_length_c 7.148
_cell_angle_alpha 65.84
_cell_angle_beta 75.44
_cell_angle_gamma 89.94
_space_group_name_H-M_alt 'P 1'
_space_group_IT_number 1
loop_
_space_group_symop_operation_xyz
'x,y,z'
loop_
_atom_site_label
_atom_site_type_symbol
_atom_site_fract_x
_atom_site_fract_y
_atom_site_fract_z
Ce1 Ce 0.000 0.000 0.000
Ce2 Ce 0.292 0.401 0.302
Ce3 Ce 0.659 0.701 0.613
N1 N 0.768 0.637 0.310
F1 F 0.133 0.424 0.658
F2 F 0.181 0.628 0.948
F3 F 0.199 0.951 0.551
F4 F 0.500 0.249 0.012
F5 F 0.621 0.004 0.791
F6 F 0.829 0.129 0.297
```

Peak list (8 most intense, 10 to 90 degrees two-theta, sorted by position)
2theta, I_rel
26.00, 56.4
26.16, 52.7
26.78, 100.0
30.14, 26.7
30.30, 28.2
31.40, 23.2
43.15, 21.2
43.34, 40.4

***

Entry 2:
This entry pairs a crystal structure of SO6 with its calculated powder diffraction line list. Radiation: CuKα. Structure: a structure optimized by DFT (PBE).
Peak positions follow from Bragg's law for the DFT cell and can differ from measured ones.

Structural model:
```
data_SO6
_cell_length_a 7.436
_cell_length_b 7.436
_cell_length_c 13.670
_cell_angle_alpha 106.03
_cell_angle_beta 106.03
_cell_angle_gamma 57.93
_space_group_name_H-M_alt 'P 1'
_space_group_IT_number 1
loop_
_space_group_symop_operation_xyz
'x,y,z'
loop_
_atom_site_label
_atom_site_type_symbol
_atom_site_fract_x
_atom_site_fract_y
_atom_site_fract_z
S1 S 0.087 0.913 0.750
S2 S 0.267 0.419 0.914
S3 S 0.419 0.267 0.414
S4 S 0.581 0.733 0.586
S5 S 0.733 0.581 0.086
S6 S 0.913 0.087 0.250
O1 O 0.011 0.370 0.694
O2 O 0.021 0.933 0.326
O3 O 0.051 0.442 0.864
O4 O 0.066 0.099 0.011
O5 O 0.067 0.979 0.174
O6 O 0.099 0.066 0.511
O7 O 0.103 0.702 0.700
O8 O 0.252 0.628 0.969
O9 O 0.264 0.360 0.489
O10 O 0.298 0.897 0.800
O11 O 0.334 0.411 0.335
O12 O 0.360 0.264 0.989
O13 O 0.370 0.011 0.194
O14 O 0.372 0.748 0.531
O15 O 0.401 0.441 0.645
O16 O 0.411 0.334 0.835
O17 O 0.441 0.401 0.145
O18 O 0.442 0.051 0.364
O19 O 0.558 0.949 0.636
O20 O 0.559 0.599 0.855
O21 O 0.589 0.666 0.165
O22 O 0.599 0.559 0.355
O23 O 0.628 0.252 0.469
O24 O 0.630 0.989 0.806
O25 O 0.640 0.736 0.011
O26 O 0.666 0.589 0.665
O27 O 0.702 0.103 0.200
O28 O 0.736 0.640 0.511
O29 O 0.748 0.372 0.031
O30 O 0.897 0.298 0.300
O31 O 0.901 0.934 0.489
O32 O 0.933 0.021 0.826
O33 O 0.934 0.901 0.989
O34 O 0.949 0.558 0.136
O35 O 0.979 0.067 0.674
O36 O 0.989 0.630 0.306
```

Peak list (8 most intense, 10 to 90 degrees two-theta, sorted by position)
2theta, I_rel
16.76, 43.3
18.12, 100.0
22.81, 32.4
24.92, 88.8
27.69, 51.8
28.41, 32.5
33.13, 32.4
35.30, 30.6

***

Entry 3:
This entry pairs a crystal structure of Li2TlSn with its calculated powder diffraction line list. Radiation: CuKα. Structure: a structure optimized by DFT (PBE).
Peak positions follow from Bragg's law for the DFT cell and can differ from measured ones.

Structural model:
```
data_Li2TlSn
_cell_length_a 4.905
_cell_length_b 4.905
_cell_length_c 4.905
_cell_angle_alpha 60.00
_cell_angle_beta 60.00
_cell_angle_gamma 60.00
_space_group_name_H-M_alt 'P 1'
_space_group_IT_number 1
loop_
_space_group_symop_operation_xyz
'x,y,z'
loop_
_atom_site_label
_atom_site_type_symbol
_atom_site_fract_x
_atom_site_fract_y
_atom_site_fract_z
Li1 Li 0.250 0.250 0.250
Li2 Li 0.750 0.750 0.750
Tl1 Tl 0.000 0.000 0.000
Sn1 Sn 0.500 0.500 0.500
```

Peak list (8 most intense, 10 to 90 degrees two-theta, sorted by position)
2theta, I_rel
25.69, 100.0
36.64, 91.5
45.29, 30.0
52.79, 16.4
59.61, 40.4
65.98, 34.1
83.65, 20.4
89.32, 16.1

***

Entry 4:
This entry pairs a crystal structure of MnInCu4 with its calculated powder diffraction line list. Radiation: CuKα. Structure: a structure optimized by DFT (PBE).
Peak positions follow from Bragg's law for the DFT cell and can differ from measured ones.

Structural model:
```
data_MnInCu4
_cell_length_a 4.975
_cell_length_b 4.975
_cell_length_c 7.897
_cell_angle_alpha 90.00
_cell_angle_beta 90.00
_cell_angle_gamma 120.09
_space_group_name_H-M_alt 'P 1'
_space_group_IT_number 1
loop_
_space_group_symop_operation_xyz
'x,y,z'
loop_
_atom_site_label
_atom_site_type_symbol
_atom_site_fract_x
_atom_site_fract_y
_atom_site_fract_z
Mn1 Mn 0.166 0.834 0.500
Mn2 Mn 0.834 0.166 0.000
In1 In 0.167 0.833 0.873
In2 In 0.833 0.167 0.373
Cu1 Cu 0.160 0.330 0.686
Cu2 Cu 0.330 0.160 0.186
Cu3 Cu 0.330 0.670 0.186
Cu4 Cu 0.500 0.500 0.437
Cu5 Cu 0.500 0.500 0.937
Cu6 Cu 0.670 0.330 0.686
Cu7 Cu 0.670 0.840 0.686
Cu8 Cu 0.840 0.670 0.186
```

Peak list (8 most intense, 10 to 90 degrees two-theta, sorted by position)
2theta, I_rel
23.53, 16.7
36.12, 35.9
40.15, 72.8
42.99, 100.0
43.56, 81.8
67.67, 26.2
69.69, 21.7
74.51, 25.6

***

Entry 5:
This entry pairs a crystal structure of SmMgSe3 with its calculated powder diffraction line list. Radiation: CuKα. Structure: a structure optimized by DFT (PBE).
Peak positions follow from Bragg's law for the DFT cell and can differ from measured ones.

Structural model:
```
data_SmMgSe3
_cell_length_a 7.365
_cell_length_b 7.365
_cell_length_c 6.893
_cell_angle_alpha 103.71
_cell_angle_beta 103.71
_cell_angle_gamma 116.97
_space_group_name_H-M_alt 'P 1'
_space_group_IT_number 1
loop_
_space_group_symop_operation_xyz
'x,y,z'
loop_
_atom_site_label
_atom_site_type_symbol
_atom_site_fract_x
_atom_site_fract_y
_atom_site_fract_z
Sm1 Sm 0.196 0.196 0.312
Sm2 Sm 0.804 0.804 0.688
Mg1 Mg 0.333 0.667 0.000
Mg2 Mg 0.667 0.333 0.000
Se1 Se 0.112 0.767 0.217
Se2 Se 0.233 0.888 0.783
Se3 Se 0.468 0.468 0.748
Se4 Se 0.532 0.532 0.252
Se5 Se 0.767 0.112 0.217
Se6 Se 0.888 0.233 0.783
```

Peak list (8 most intense, 10 to 90 degrees two-theta, sorted by position)
2theta, I_rel
14.10, 93.6
24.92, 72.2
25.71, 65.7
27.31, 95.2
29.07, 100.0
31.80, 63.7
42.91, 93.7
43.13, 61.8

***

Entry 6:
This entry pairs a crystal structure of BiS2 with its calculated powder diffraction line list. Radiation: CuKα. Structure: a structure optimized by DFT (PBE).
Peak positions follow from Bragg's law for the DFT cell and can differ from measured ones.

Structural model:
```
data_BiS2
_cell_length_a 6.895
_cell_length_b 6.895
_cell_length_c 6.895
_cell_angle_alpha 121.74
_cell_angle_beta 121.74
_cell_angle_gamma 87.02
_space_group_name_H-M_alt 'P 1'
_space_group_IT_number 1
loop_
_space_group_symop_operation_xyz
'x,y,z'
loop_
_atom_site_label
_atom_site_type_symbol
_atom_site_fract_x
_atom_site_fract_y
_atom_site_fract_z
Bi1 Bi 0.000 0.000 0.000
Bi2 Bi 0.750 0.250 0.500
S1 S 0.109 0.125 0.484
S2 S 0.375 0.891 0.016
S3 S 0.641 0.625 0.516
S4 S 0.875 0.359 0.984
```

Peak list (8 most intense, 10 to 90 degrees two-theta, sorted by position)
2theta, I_rel
15.90, 100.0
25.88, 68.8
29.92, 20.5
31.10, 37.4
37.91, 19.9
40.43, 20.5
45.22, 24.1
46.47, 28.8